(1)
Structure and theoretical powder diffraction line list of Sr5W3O14 (DFT lattice parameters and positions (GGA+U); Cu Kα).
Lines closer than 0.1° are merged.

a b c (Å): 7.688 7.688 11.075
angles (deg): 90.08 90.08 89.58
Fractional coordinates of all 44 atoms:
Sr  0.002  0.998  0.500
Sr  0.012  0.486  0.024
Sr  0.257  0.750  0.779
Sr  0.486  0.012  0.524
Sr  0.497  0.504  0.550
Sr  0.503  0.977  0.035
Sr  0.504  0.497  0.050
Sr  0.750  0.257  0.279
Sr  0.977  0.503  0.535
Sr  0.998  0.002  0.000
W  0.246  0.252  0.777
W  0.246  0.746  0.275
W  0.252  0.246  0.277
W  0.746  0.246  0.775
W  0.747  0.750  0.275
W  0.750  0.747  0.775
O  0.003  0.745  0.318
O  0.057  0.279  0.386
O  0.084  0.220  0.149
O  0.210  0.799  0.108
O  0.220  0.084  0.649
O  0.224  0.451  0.667
O  0.247  0.502  0.232
O  0.255  0.998  0.318
O  0.279  0.057  0.886
O  0.281  0.425  0.902
O  0.301  0.713  0.442
O  0.425  0.281  0.402
O  0.451  0.224  0.167
O  0.499  0.752  0.231
O  0.502  0.247  0.732
O  0.553  0.779  0.667
O  0.579  0.720  0.902
O  0.713  0.301  0.942
O  0.720  0.579  0.402
O  0.724  0.946  0.385
O  0.745  0.003  0.818
O  0.752  0.499  0.731
O  0.779  0.553  0.167
O  0.781  0.920  0.150
O  0.799  0.210  0.608
O  0.920  0.781  0.650
O  0.946  0.724  0.885
O  0.998  0.255  0.818

Peak list (12 most intense, 10° ≤ 2θ ≤ 90°, by angle)
2θ = 16.00°, d 5.538, I = 12
2θ = 28.26°, d 3.158, I = 100
2θ = 32.33°, d 2.769, I = 13
2θ = 32.83°, d 2.728, I = 14
2θ = 33.08°, d 2.708, I = 13
2θ = 46.74°, d 1.943, I = 13
2θ = 46.93°, d 1.936, I = 13
2θ = 47.29°, d 1.922, I = 16
2θ = 55.20°, d 1.664, I = 14
2θ = 55.85°, d 1.646, I = 15
2θ = 56.17°, d 1.637, I = 14
2θ = 58.45°, d 1.579, I = 12

---

(2)
Structure and theoretical powder diffraction line list of Sr3W2O9 (DFT lattice parameters and positions (GGA+U); Cu Kα).
Lines closer than 0.1° are merged.

a b c (Å): 9.069 8.117 9.670
angles (deg): 90.00 117.15 90.00
Fractional coordinates of all 28 atoms:
Sr  0.000  0.000  0.000
Sr  0.000  0.500  0.000
Sr  0.166  0.250  0.778
Sr  0.372  0.250  0.255
Sr  0.628  0.750  0.745
Sr  0.834  0.750  0.222
W  0.149  0.750  0.710
W  0.429  0.750  0.270
W  0.571  0.250  0.730
W  0.851  0.250  0.290
O  0.021  0.750  0.503
O  0.105  0.565  0.794
O  0.105  0.935  0.794
O  0.140  0.250  0.009
O  0.300  0.565  0.224
O  0.300  0.935  0.224
O  0.362  0.750  0.746
O  0.420  0.250  0.527
O  0.457  0.250  0.842
O  0.543  0.750  0.158
O  0.580  0.750  0.473
O  0.638  0.250  0.254
O  0.700  0.065  0.776
O  0.700  0.435  0.776
O  0.860  0.750  0.991
O  0.895  0.065  0.206
O  0.895  0.435  0.206
O  0.979  0.250  0.497

Peak list (12 most intense, 10° ≤ 2θ ≤ 90°, by angle)
2θ = 15.54°, d 5.702, I = 38
2θ = 19.58°, d 4.534, I = 97
2θ = 20.65°, d 4.302, I = 91
2θ = 21.25°, d 4.182, I = 49
2θ = 21.45°, d 4.142, I = 33
2θ = 21.90°, d 4.059, I = 93
2θ = 24.58°, d 3.621, I = 43
2θ = 28.39°, d 3.143, I = 62
2θ = 28.81°, d 3.099, I = 55
2θ = 29.54°, d 3.024, I = 100
2θ = 30.28°, d 2.952, I = 95
2θ = 44.65°, d 2.029, I = 29

---

(3)
Structure and theoretical powder diffraction line list of Sr3W2O9 (DFT lattice parameters and positions (GGA+U); Cu Kα).
Lines closer than 0.1° are merged.

a b c (Å): 9.148 8.160 16.586
angles (deg): 90.00 90.00 90.00
Fractional coordinates of all 56 atoms:
Sr  0.000  0.000  0.000
Sr  0.000  0.500  0.000
Sr  0.184  0.250  0.419
Sr  0.220  0.750  0.145
Sr  0.280  0.250  0.645
Sr  0.316  0.750  0.919
Sr  0.500  0.000  0.500
Sr  0.500  0.500  0.500
Sr  0.684  0.250  0.081
Sr  0.720  0.750  0.355
Sr  0.780  0.250  0.855
Sr  0.816  0.750  0.581
W  0.155  0.750  0.398
W  0.245  0.250  0.167
W  0.255  0.750  0.667
W  0.345  0.250  0.898
W  0.655  0.750  0.102
W  0.745  0.250  0.333
W  0.755  0.750  0.833
W  0.845  0.250  0.602
O  0.040  0.250  0.580
O  0.078  0.750  0.619
O  0.124  0.750  0.016
O  0.147  0.064  0.135
O  0.147  0.436  0.135
O  0.177  0.750  0.290
O  0.232  0.750  0.775
O  0.242  0.565  0.436
O  0.242  0.935  0.436
O  0.258  0.065  0.936
O  0.258  0.435  0.936
O  0.268  0.250  0.275
O  0.323  0.250  0.790
O  0.353  0.564  0.635
O  0.353  0.936  0.635
O  0.376  0.250  0.516
O  0.422  0.250  0.119
O  0.460  0.750  0.080
O  0.540  0.250  0.920
O  0.578  0.750  0.881
O  0.624  0.750  0.484
O  0.647  0.064  0.365
O  0.647  0.436  0.365
O  0.677  0.750  0.210
O  0.732  0.750  0.725
O  0.742  0.565  0.064
O  0.742  0.935  0.064
O  0.758  0.065  0.564
O  0.758  0.435  0.564
O  0.768  0.250  0.225
O  0.823  0.250  0.710
O  0.853  0.564  0.865
O  0.853  0.936  0.865
O  0.876  0.250  0.984
O  0.922  0.250  0.381
O  0.960  0.750  0.420

Peak list (12 most intense, 10° ≤ 2θ ≤ 90°, by angle)
2θ = 19.40°, d 4.575, I = 56
2θ = 20.14°, d 4.409, I = 24
2θ = 21.43°, d 4.147, I = 24
2θ = 21.76°, d 4.085, I = 100
2θ = 22.24°, d 3.998, I = 25
2θ = 23.56°, d 3.777, I = 57
2θ = 24.48°, d 3.636, I = 37
2θ = 29.07°, d 3.072, I = 26
2θ = 29.33°, d 3.045, I = 52
2θ = 30.74°, d 2.908, I = 38
2θ = 32.30°, d 2.771, I = 34
2θ = 44.43°, d 2.039, I = 29

---

(4)
Structure and theoretical powder diffraction line list of Sr3W2O9 (DFT lattice parameters and positions (GGA+U); Cu Kα).
Lines closer than 0.1° are merged.

a b c (Å): 7.348 7.348 7.348
angles (deg): 84.89 84.89 84.89
Fractional coordinates of all 28 atoms:
Sr  0.077  0.750  0.423
Sr  0.250  0.577  0.923
Sr  0.423  0.077  0.750
Sr  0.577  0.923  0.250
Sr  0.750  0.423  0.077
Sr  0.923  0.250  0.577
W  0.143  0.143  0.143
W  0.357  0.357  0.357
W  0.643  0.643  0.643
W  0.857  0.857  0.857
O  0.080  0.916  0.743
O  0.084  0.257  0.920
O  0.099  0.401  0.250
O  0.243  0.416  0.580
O  0.250  0.099  0.401
O  0.257  0.920  0.084
O  0.401  0.250  0.099
O  0.416  0.580  0.243
O  0.420  0.757  0.584
O  0.580  0.243  0.416
O  0.584  0.420  0.757
O  0.599  0.750  0.901
O  0.743  0.080  0.916
O  0.750  0.901  0.599
O  0.757  0.584  0.420
O  0.901  0.599  0.750
O  0.916  0.743  0.080
O  0.920  0.084  0.257

Peak list (12 most intense, 10° ≤ 2θ ≤ 90°, by angle)
2θ = 17.89°, d 4.959, I = 79
2θ = 26.41°, d 3.374, I = 32
2θ = 27.84°, d 3.204, I = 41
2θ = 31.24°, d 2.863, I = 100
2θ = 33.29°, d 2.691, I = 28
2θ = 38.04°, d 2.365, I = 36
2θ = 41.36°, d 2.183, I = 34
2θ = 43.33°, d 2.088, I = 28
2θ = 46.30°, d 1.961, I = 20
2θ = 54.38°, d 1.687, I = 23
2θ = 55.60°, d 1.653, I = 20
2θ = 65.17°, d 1.431, I = 20

---

(5)
Structure and theoretical powder diffraction line list of Sr2WO5 (DFT lattice parameters and positions (GGA+U); Cu Kα).
Lines closer than 0.1° are merged.

a b c (Å): 7.383 5.616 11.100
angles (deg): 90.00 90.00 90.00
Fractional coordinates of all 32 atoms:
Sr  0.013  0.250  0.224
Sr  0.176  0.750  0.418
Sr  0.324  0.250  0.918
Sr  0.487  0.750  0.724
Sr  0.513  0.250  0.276
Sr  0.676  0.750  0.082
Sr  0.824  0.250  0.582
Sr  0.987  0.750  0.776
W  0.183  0.750  0.063
W  0.317  0.250  0.563
W  0.683  0.750  0.437
W  0.817  0.250  0.937
O  0.000  0.000  0.000
O  0.000  0.500  0.000
O  0.043  0.750  0.207
O  0.163  0.001  0.609
O  0.163  0.499  0.609
O  0.228  0.250  0.394
O  0.272  0.750  0.894
O  0.337  0.501  0.109
O  0.337  0.999  0.109
O  0.457  0.250  0.707
O  0.500  0.000  0.500
O  0.500  0.500  0.500
O  0.543  0.750  0.293
O  0.663  0.001  0.891
O  0.663  0.499  0.891
O  0.728  0.250  0.106
O  0.772  0.750  0.606
O  0.837  0.501  0.391
O  0.837  0.999  0.391
O  0.957  0.250  0.793

Peak list (12 most intense, 10° ≤ 2θ ≤ 90°, by angle)
2θ = 15.97°, d 5.550, I = 16
2θ = 21.43°, d 4.146, I = 30
2θ = 28.91°, d 3.088, I = 100
2θ = 29.05°, d 3.074, I = 29
2θ = 30.07°, d 2.972, I = 25
2θ = 31.87°, d 2.808, I = 34
2θ = 33.23°, d 2.696, I = 19
2θ = 43.66°, d 2.073, I = 24
2θ = 47.53°, d 1.913, I = 16
2θ = 54.96°, d 1.671, I = 23
2θ = 55.66°, d 1.651, I = 14
2θ = 65.58°, d 1.424, I = 14

---

(6)
Structure and theoretical powder diffraction line list of Sr2YWO6 (DFT lattice parameters and positions (GGA+U); Cu Kα).
Lines closer than 0.1° are merged.

a b c (Å): 5.946 5.946 5.946
angles (deg): 60.00 60.00 60.00
Fractional coordinates of all 10 atoms:
Sr  0.250  0.250  0.250
Sr  0.750  0.750  0.750
Y  0.000  0.000  0.000
W  0.500  0.500  0.500
O  0.263  0.263  0.737
O  0.263  0.737  0.263
O  0.263  0.737  0.737
O  0.737  0.263  0.263
O  0.737  0.263  0.737
O  0.737  0.737  0.263

Peak list (12 most intense, 10° ≤ 2θ ≤ 90°, by angle)
2θ = 18.27°, d 4.855, I = 12
2θ = 21.13°, d 4.204, I = 12
2θ = 30.06°, d 2.973, I = 100
2θ = 35.41°, d 2.535, I = 6
2θ = 43.03°, d 2.102, I = 32
2θ = 48.41°, d 1.880, I = 5
2θ = 53.38°, d 1.716, I = 40
2θ = 56.90°, d 1.618, I = 3
2θ = 62.48°, d 1.486, I = 20
2θ = 70.88°, d 1.329, I = 18
2θ = 78.87°, d 1.214, I = 6
2θ = 86.64°, d 1.124, I = 22